# 1
Simulated powder X-ray diffraction pattern
Compound: CaTl2OsO6
Radiation: Cu Ka
Structure: the PBE geometry in Alexandria
Kinematic intensities with the Lorentz-polarization factor, no thermal factor.

Atomic structure:
```
CaTl2OsO6
1.0
6.372 0.000 0.000
-3.186 5.519 0.000
0.000 0.000 5.928
Ca Tl Os O
1 2 1 6
Cartesian
0.000 0.000 0.000
0.000 3.679 3.203
3.186 1.840 2.726
0.000 0.000 2.964
0.000 1.518 1.842
-1.872 4.760 1.842
1.315 0.759 4.086
1.872 4.760 1.842
5.058 0.759 4.086
3.186 4.001 4.086
```

Principal peaks in the range 2θ = 10–80°, in order of rising 2θ:
2θ/deg	I/Imax
14.9	100
28.0	77
30.2	15
31.9	83
41.6	52
49.6	16
52.1	21
54.7	14
57.9	13
59.1	19
60.1	16
66.6	11


# 2
Simulated powder X-ray diffraction pattern
Compound: Mg4In2Sn
Radiation: Cu Ka
Structure: the PBE geometry in Alexandria
Kinematic intensities with the Lorentz-polarization factor, no thermal factor.

Atomic structure:
```
Mg4In2Sn
1.0
7.480 0.000 0.000
0.000 5.850 0.000
-3.083 0.000 7.888
Mg In Sn
8 4 2
Cartesian
-1.115 1.462 3.410
-2.217 1.462 6.311
0.557 0.013 5.995
0.557 2.912 5.995
3.841 2.938 1.894
3.841 5.837 1.894
6.614 4.387 1.578
5.512 4.387 4.478
-1.332 4.387 7.876
1.521 4.387 3.436
2.876 1.462 4.453
5.729 1.462 0.012
1.123 1.462 1.447
3.274 4.387 6.442
```

Principal peaks in the range 2θ = 10–80°, in order of rising 2θ:
2θ/deg	I/Imax
13.6	80
26.4	30
27.3	21
29.9	17
30.6	46
31.6	18
33.6	100
35.3	81
39.1	24
39.4	20
40.3	21
57.4	20


# 3
Simulated powder X-ray diffraction pattern
Compound: Pm2Nd5HoTm
Radiation: Cu Ka
Structure: the PBE geometry in Alexandria
Kinematic intensities with the Lorentz-polarization factor, no thermal factor.

Atomic structure:
```
Pm2Nd5HoTm
1.0
-4.289 4.289 8.455
4.289 -4.289 8.455
4.289 4.289 -8.455
Pm Nd Ho Tm
4 10 2 2
Cartesian
5.337 1.048 0.000
1.048 3.241 0.000
3.241 1.048 8.455
-1.048 3.241 8.455
0.000 0.000 0.000
2.413 1.876 -2.425
2.413 -1.876 6.029
2.413 1.876 2.425
2.413 -1.876 10.880
0.000 0.000 8.455
1.876 6.165 -2.425
1.876 2.413 6.029
1.876 6.165 2.425
1.876 2.413 10.880
0.000 0.000 4.227
0.000 0.000 12.682
4.289 0.000 4.227
0.000 4.289 4.227
```

Principal peaks in the range 2θ = 10–80°, in order of rising 2θ:
2θ/deg	I/Imax
28.1	40
29.5	52
29.7	100
33.0	10
34.7	11
38.2	27
42.8	12
43.5	13
46.5	15
52.4	29
52.8	13
58.2	8


# 4
Simulated powder X-ray diffraction pattern
Compound: YGa2Co2P
Radiation: Cu Ka
Structure: the PBE geometry in Alexandria
Kinematic intensities with the Lorentz-polarization factor, no thermal factor.

Atomic structure:
```
YGa2Co2P
1.0
4.226 0.000 0.000
0.000 4.226 0.000
0.000 0.000 5.419
Y Ga Co P
1 2 2 1
Cartesian
0.000 0.000 0.000
2.113 2.113 1.280
2.113 2.113 4.139
0.000 2.113 2.710
2.113 0.000 2.710
0.000 0.000 2.710
```

Principal peaks in the range 2θ = 10–80°, in order of rising 2θ:
2θ/deg	I/Imax
16.4	10
26.8	9
29.9	32
34.3	82
39.5	100
42.8	86
45.2	21
59.7	57
62.1	27
69.4	9
72.9	16
76.2	14


# 5
Simulated powder X-ray diffraction pattern
Compound: K3B6BrO10
Radiation: Cu Ka
Structure: the PBE geometry in Alexandria
Kinematic intensities with the Lorentz-polarization factor, no thermal factor.

Atomic structure:
```
K3B6BrO10
1.0
5.108 2.949 3.018
-5.108 2.949 3.018
0.000 -5.898 3.018
K B Br O
3 6 1 10
Cartesian
0.000 -2.726 3.018
-2.361 1.363 3.018
2.361 1.363 3.018
-2.822 -1.629 4.041
-1.340 -0.774 6.002
2.822 -1.629 4.041
0.000 3.259 4.041
1.340 -0.774 6.002
0.000 1.547 6.002
0.000 0.000 1.107
-1.730 -0.999 4.611
-1.194 -2.053 6.719
-2.375 -0.007 6.719
1.730 -0.999 4.611
0.000 1.998 4.611
0.000 0.000 6.033
1.194 -2.053 6.719
-1.181 2.061 6.719
2.375 -0.007 6.719
1.181 2.061 6.719
```

Principal peaks in the range 2θ = 10–80°, in order of rising 2θ:
2θ/deg	I/Imax
22.1	14
28.2	100
28.5	61
29.6	16
33.3	14
35.1	31
38.0	15
42.1	12
45.0	24
45.7	22
56.6	14
58.9	13


# 6
Simulated powder X-ray diffraction pattern
Compound: CsBa2IO6
Radiation: Cu Ka
Structure: the PBE geometry in Alexandria
Kinematic intensities with the Lorentz-polarization factor, no thermal factor.

Atomic structure:
```
CsBa2IO6
1.0
3.335 1.925 5.015
-3.335 1.925 5.015
0.000 -3.851 5.015
Cs Ba I O
1 2 1 6
Cartesian
0.000 0.000 0.000
0.000 0.000 3.988
0.000 0.000 11.058
0.000 0.000 7.523
-1.555 0.060 6.398
-0.829 -1.317 8.648
0.726 -1.377 6.398
-0.726 1.377 8.648
0.829 1.317 6.398
1.555 -0.060 8.648
```

Principal peaks in the range 2θ = 10–80°, in order of rising 2θ:
2θ/deg	I/Imax
26.7	100
28.3	84
39.3	39
47.2	24
48.2	42
51.1	12
55.1	13
58.6	10
63.1	18
65.5	14
75.4	13
76.2	11


# 7
Simulated powder X-ray diffraction pattern
Compound: Sm2Y12Er
Radiation: Cu Ka
Structure: the PBE geometry in Alexandria
Kinematic intensities with the Lorentz-polarization factor, no thermal factor.

Atomic structure:
```
Sm2Y12Er
1.0
3.545 0.000 0.000
0.000 5.694 0.000
0.000 0.000 24.819
Sm Y Er
2 12 1
Cartesian
0.000 0.000 5.783
0.000 0.000 19.036
0.000 2.847 1.535
0.000 2.847 10.520
0.000 2.847 14.300
0.000 2.847 23.285
1.772 0.000 2.128
1.772 0.000 9.280
1.772 0.000 15.540
1.772 0.000 22.692
1.772 2.847 4.306
1.772 2.847 7.493
1.772 2.847 17.326
1.772 2.847 20.513
0.000 0.000 12.410
```

Principal peaks in the range 2θ = 10–80°, in order of rising 2θ:
2θ/deg	I/Imax
29.0	47
29.7	69
30.6	86
31.4	100
31.6	35
32.9	87
33.1	84
36.9	44
43.3	31
58.3	27
61.6	30
62.5	26


# 8
Simulated powder X-ray diffraction pattern
Compound: TbPrPt
Radiation: Cu Ka
Structure: the PBE geometry in Alexandria
Kinematic intensities with the Lorentz-polarization factor, no thermal factor.

Atomic structure:
```
TbPrPt
1.0
7.093 0.000 0.000
0.000 5.950 0.000
-6.512 0.000 8.562
Tb Pr Pt
4 4 4
Cartesian
-1.185 0.737 3.142
-4.441 2.238 7.423
5.022 3.712 1.139
1.766 5.213 5.420
-1.832 3.839 5.298
1.424 5.086 1.018
-0.843 0.864 7.544
2.413 2.111 3.263
-2.905 0.939 5.436
0.351 2.036 1.155
0.230 3.914 7.407
3.486 5.011 3.126
```

Principal peaks in the range 2θ = 10–80°, in order of rising 2θ:
2θ/deg	I/Imax
15.7	36
16.8	48
21.7	49
28.0	33
29.2	39
31.7	57
32.7	100
35.2	73
37.3	70
38.5	42
39.5	47
42.2	58